(1)
# CePu2As2N2
Theoretical X-ray diffraction stick pattern, CuKα. Input: the GGA-PBE geometry in Alexandria.

Cell and atoms:
```
CePu2As2N2
1.0
6.1625 -1.9251 0.0000
6.1625 1.9251 0.0000
-3.6007 0.0000 5.9250
Ce Pu As N
1 2 2 2
direct
0.0000 0.0000 0.0000
0.1899 0.1899 0.7506
0.8101 0.8101 0.2494
0.4447 0.4447 0.6437
0.5553 0.5553 0.3563
0.2076 0.2076 0.0908
0.7924 0.7924 0.9092
```

Peak list (6 most intense, 15 to 90 degrees two-theta, sorted by position)
| two_theta | intensity |
| --- | --- |
| 29.1 | 61 |
| 31.2 | 100 |
| 34.6 | 23 |
| 36.2 | 65 |
| 39.5 | 22 |
| 49.3 | 23 |

(2)
# Ce3Ta2As2N4
Theoretical X-ray diffraction stick pattern, CuKα. Input: the GGA-PBE geometry in Alexandria.

Cell and atoms:
```
Ce3Ta2As2N4
1.0
-2.0624 2.0624 10.8431
2.0624 -2.0624 10.8431
2.0624 2.0624 -10.8431
Ce Ta As N
3 2 2 4
direct
0.0000 0.0000 0.0000
0.1597 0.1597 0.0000
0.8403 0.8403 0.0000
0.4184 0.4184 0.0000
0.5816 0.5816 0.0000
0.2987 0.2987 0.0000
0.7013 0.7013 0.0000
0.0752 0.5752 0.5000
0.4248 0.9248 0.5000
0.5752 0.0752 0.5000
0.9248 0.4248 0.5000
```

Peak list (6 most intense, 15 to 90 degrees two-theta, sorted by position)
| two_theta | intensity |
| --- | --- |
| 29.9 | 35 |
| 30.7 | 94 |
| 36.3 | 100 |
| 43.9 | 44 |
| 58.2 | 51 |
| 72.5 | 17 |

(3)
# NaCeAs
Theoretical X-ray diffraction stick pattern, CuKα. Input: the GGA-PBE geometry in Alexandria.

Cell and atoms:
```
NaCeAs
1.0
2.3453 1.3541 9.1266
-2.3453 1.3541 9.1266
0.0000 -2.7081 9.1266
Na Ce As
2 2 2
direct
0.1295 0.1295 0.1295
0.8705 0.8705 0.8705
0.2942 0.2942 0.2942
0.7058 0.7058 0.7058
0.4143 0.4143 0.4143
0.5857 0.5857 0.5857
```

Peak list (6 most intense, 15 to 90 degrees two-theta, sorted by position)
| two_theta | intensity |
| --- | --- |
| 22.1 | 43 |
| 22.8 | 35 |
| 31.8 | 100 |
| 38.4 | 77 |
| 39.7 | 54 |
| 50.6 | 27 |

(4)
# NaCe3As4
Theoretical X-ray diffraction stick pattern, CuKα. Input: the GGA-PBE geometry in Alexandria.

Cell and atoms:
```
NaCe3As4
1.0
5.9468 0.0000 0.0000
0.0000 5.9468 0.0000
0.0000 0.0000 5.9468
Na Ce As
1 3 4
direct
0.0000 0.0000 0.0000
0.0000 0.5000 0.5000
0.5000 0.0000 0.5000
0.5000 0.5000 0.0000
0.0000 0.0000 0.5000
0.0000 0.5000 0.0000
0.5000 0.0000 0.0000
0.5000 0.5000 0.5000
```

Peak list (6 most intense, 15 to 90 degrees two-theta, sorted by position)
| two_theta | intensity |
| --- | --- |
| 30.1 | 100 |
| 43.0 | 74 |
| 53.4 | 26 |
| 62.5 | 12 |
| 70.9 | 33 |
| 78.9 | 25 |

(5)
# Na2CeAsSe4
Theoretical X-ray diffraction stick pattern, CuKα. Input: the GGA-PBE geometry in Alexandria.

Cell and atoms:
```
Na2CeAsSe4
1.0
7.1552 0.0000 0.0000
0.0000 4.1914 0.0000
-2.4141 0.0000 6.9275
Na Ce As Se
2 1 1 4
direct
0.0000 0.0000 0.0000
0.5000 0.5000 0.0000
0.0000 0.5000 0.5000
0.5000 0.0000 0.5000
0.2588 0.0000 0.7294
0.2759 0.5000 0.2803
0.7241 0.5000 0.7197
0.7412 0.0000 0.2706
```

Peak list (6 most intense, 15 to 90 degrees two-theta, sorted by position)
| two_theta | intensity |
| --- | --- |
| 30.1 | 100 |
| 30.3 | 49 |
| 42.8 | 35 |
| 43.1 | 36 |
| 43.7 | 35 |
| 53.6 | 19 |

(6)
# Ce4NdAs5
Theoretical X-ray diffraction stick pattern, CuKα. Input: the GGA-PBE geometry in Alexandria.

Cell and atoms:
```
Ce4NdAs5
1.0
-2.1146 2.9913 10.5757
2.1146 -2.9913 10.5757
2.1146 2.9913 -10.5757
Ce Nd As
4 1 5
direct
0.0997 0.0997 0.0000
0.2998 0.2998 0.0000
0.7002 0.7002 0.0000
0.9003 0.9003 0.0000
0.5000 0.5000 0.0000
0.0000 0.5000 0.5000
0.1996 0.6996 0.5000
0.3980 0.8980 0.5000
0.6020 0.1020 0.5000
0.8004 0.3004 0.5000
```

Peak list (6 most intense, 15 to 90 degrees two-theta, sorted by position)
| two_theta | intensity |
| --- | --- |
| 25.8 | 16 |
| 29.9 | 100 |
| 42.8 | 75 |
| 53.0 | 26 |
| 70.4 | 34 |
| 78.3 | 25 |

(7)
# Ce6Ni20As13
Theoretical X-ray diffraction stick pattern, CuKα. Input: the GGA-PBE geometry in Alexandria.

Cell and atoms:
```
Ce6Ni20As13
1.0
13.1727 0.0000 0.0000
-6.5864 11.4079 0.0000
0.0000 0.0000 3.9544
Ce Ni As
6 20 13
direct
0.0495 0.1973 0.0000
0.1478 0.9505 0.0000
0.5212 0.3889 0.5000
0.6111 0.1323 0.5000
0.8027 0.8522 0.0000
0.8677 0.4788 0.5000
0.0000 0.0000 0.5000
0.0099 0.4202 0.0000
0.0911 0.7375 0.5000
0.1881 0.6036 0.5000
0.2214 0.4685 0.0000
0.2471 0.7786 0.0000
0.2625 0.3536 0.5000
0.3101 0.2330 0.0000
0.3567 0.1026 0.5000
0.3964 0.5845 0.5000
0.4102 0.9901 0.0000
0.4155 0.8119 0.5000
0.5315 0.7529 0.0000
0.5798 0.5898 0.0000
0.6464 0.9089 0.5000
0.6667 0.3333 0.0000
0.7459 0.6433 0.5000
0.7670 0.0771 0.0000
0.8974 0.2541 0.5000
0.9229 0.6899 0.0000
0.0573 0.6198 0.0000
0.1008 0.3928 0.5000
0.1994 0.1475 0.5000
0.2920 0.8992 0.5000
0.3333 0.6667 0.0000
0.3802 0.4375 0.0000
0.4673 0.1915 0.0000
0.5625 0.9427 0.0000
0.6072 0.7080 0.5000
0.7242 0.5327 0.0000
0.8085 0.2758 0.0000
0.8525 0.0519 0.5000
0.9481 0.8006 0.5000
```

Peak list (6 most intense, 15 to 90 degrees two-theta, sorted by position)
| two_theta | intensity |
| --- | --- |
| 35.5 | 33 |
| 36.4 | 100 |
| 45.9 | 39 |
| 49.9 | 28 |
| 55.4 | 28 |
| 70.1 | 25 |

(8)
# CeNi12As6
Theoretical X-ray diffraction stick pattern, CuKα. Input: the GGA-PBE geometry in Alexandria.

Cell and atoms:
```
CeNi12As6
1.0
5.3103 3.0659 2.7346
-5.3103 3.0659 2.7346
0.0000 -6.1318 2.7346
Ce Ni As
1 12 6
direct
0.0000 0.0000 0.0000
0.1226 0.5000 0.8774
0.1226 0.8774 0.5000
0.1704 0.4277 0.4277
0.4277 0.1704 0.4277
0.4277 0.4277 0.1704
0.5000 0.1226 0.8774
0.5000 0.8774 0.1226
0.5723 0.5723 0.8296
0.5723 0.8296 0.5723
0.8296 0.5723 0.5723
0.8774 0.1226 0.5000
0.8774 0.5000 0.1226
0.2478 0.2478 0.6916
0.2478 0.6916 0.2478
0.3084 0.7522 0.7522
0.6916 0.2478 0.2478
0.7522 0.3084 0.7522
0.7522 0.7522 0.3084
```

Peak list (6 most intense, 15 to 90 degrees two-theta, sorted by position)
| two_theta | intensity |
| --- | --- |
| 27.9 | 29 |
| 33.8 | 28 |
| 36.9 | 100 |
| 44.4 | 40 |
| 48.6 | 40 |
| 54.7 | 37 |